For HPbCSNO, a crystal structure in the Materials Project, relaxed with PBE gives the theoretical PXRD pattern in this record (copper Kα).
Kinematic intensities with the Lorentz-polarization factor, no thermal factor.

Structure:
```
HPbCSNO
1.0
8.747 0.000 0.000
0.000 4.292 0.000
0.000 0.000 11.280
H Pb C S N O
4 4 4 4 4 4
direct
0.192 0.250 0.060
0.308 0.750 0.560
0.692 0.250 0.440
0.808 0.750 0.940
0.137 0.750 0.896
0.363 0.250 0.396
0.637 0.750 0.604
0.863 0.250 0.104
0.053 0.250 0.625
0.447 0.750 0.125
0.553 0.250 0.875
0.947 0.750 0.375
0.079 0.750 0.273
0.421 0.250 0.773
0.579 0.750 0.227
0.921 0.250 0.727
0.153 0.250 0.554
0.347 0.750 0.054
0.653 0.250 0.946
0.847 0.750 0.446
0.107 0.250 0.004
0.393 0.750 0.504
0.607 0.250 0.496
0.893 0.750 0.996
```

Most intense lines, 10° ≤ 2θ ≤ 90°, in order of rising 2θ:
(hkl), 2θ (°), d_spacing, I_rel
1 0 1, 12.8, 6.913, 100.0
1 0 2, 18.7, 4.740, 88.6
2 0 1, 21.8, 4.078, 33.4
1 1 1, 24.4, 3.646, 72.9
1 1 2, 28.0, 3.182, 82.8
2 1 0, 29.2, 3.063, 57.8
2 0 3, 31.4, 2.851, 67.0
0 1 3, 31.7, 2.826, 89.2
3 1 2, 40.7, 2.218, 38.3
4 1 3, 52.9, 1.730, 29.6